TmTiCuOs: theoretical X-ray powder pattern (λ = 1.5418 Å (Cu Kα)), based on a DFT-relaxed cell (GGA-PBE, Alexandria).

Atomic structure:
```
TmTiCuOs
1.0
0.0000 3.2405 3.2405
3.2405 0.0000 3.2405
3.2405 3.2405 0.0000
Tm Ti Cu Os
1 1 1 1
direct
0.0000 0.0000 0.0000 Tm
0.5000 0.5000 0.5000 Ti
0.7500 0.7500 0.7500 Cu
0.2500 0.2500 0.2500 Os
```

Main lines, most intense first (2θ = 10–90°):
2theta, Rel. int.
39.32, 100
71.29, 34
23.78, 30
56.82, 17
46.47, 16
84.58, 11
62.46, 7
89.45, 6
76.35, 5
27.53, 1

Ca3Tl2Pb: theoretical X-ray powder pattern (λ = 1.5418 Å (Cu Kα)), based on a DFT-relaxed cell (GGA-PBE, Alexandria).

Atomic structure:
```
Ca3Tl2Pb
1.0
3.8586 0.0000 0.0000
0.0000 3.8586 0.0000
0.0000 0.0000 12.0220
Ca Tl Pb
3 2 1
direct
0.0000 0.0000 0.0000 Ca
0.0000 0.0000 0.3270 Ca
0.0000 0.0000 0.6730 Ca
0.5000 0.5000 0.1591 Tl
0.5000 0.5000 0.8409 Tl
0.5000 0.5000 0.5000 Pb
```

Main lines, most intense first (2θ = 10–90°):
2theta, Rel. int.
32.21, 100
32.83, 48
23.05, 48
58.21, 37
22.18, 26
39.98, 24
57.03, 19
47.11, 18
51.38, 12
67.38, 11

YNp3As4: theoretical X-ray powder pattern (λ = 1.5418 Å (Cu Kα)), based on a DFT-relaxed cell (GGA-PBE, Alexandria).

Atomic structure:
```
YNp3As4
1.0
5.8148 0.0000 0.0000
0.0000 5.8148 0.0000
0.0000 0.0000 5.8148
Y Np As
1 3 4
direct
0.0000 0.0000 0.0000 Y
0.0000 0.5000 0.5000 Np
0.5000 0.0000 0.5000 Np
0.5000 0.5000 0.0000 Np
0.0000 0.0000 0.5000 As
0.0000 0.5000 0.0000 As
0.5000 0.0000 0.0000 As
0.5000 0.5000 0.5000 As
```

Main lines, most intense first (2θ = 10–90°):
2theta, Rel. int.
30.75, 100
44.05, 75
26.55, 35
72.73, 35
54.68, 27
81.01, 26
52.17, 18
64.05, 13
15.24, 8
70.61, 8

B7C5: theoretical X-ray powder pattern (λ = 1.5418 Å (Cu Kα)), based on a DFT-relaxed cell (GGA-PBE, Alexandria).

Atomic structure:
```
B7C5
1.0
4.6989 0.0000 0.0000
0.0000 2.7208 0.0000
-1.9831 0.0000 8.1988
B C
7 5
direct
0.0000 0.0000 0.0000 B
0.0530 0.5000 0.7874 B
0.1721 0.0000 0.6731 B
0.4383 0.0000 0.4765 B
0.4974 0.5000 0.9951 B
0.6249 0.0000 0.7835 B
0.9349 0.5000 0.4768 B
0.1065 0.0000 0.4844 C
0.1591 0.5000 0.9839 C
0.6121 0.5000 0.5025 C
0.6571 0.0000 0.9792 C
0.6787 0.5000 0.6948 C
```

Main lines, most intense first (2θ = 10–90°):
2theta, Rel. int.
10.79, 100
21.68, 32
38.77, 11
44.19, 9
39.46, 7
41.42, 6
69.29, 4
42.13, 4
69.04, 3
74.62, 2

Tb6NdGa3: theoretical X-ray powder pattern (λ = 1.5418 Å (Cu Kα)), based on a DFT-relaxed cell (GGA-PBE, Alexandria).

Atomic structure:
```
Tb6NdGa3
1.0
5.4154 -6.3569 0.0000
5.4154 6.3569 0.0000
0.0000 0.0000 8.3183
Tb Nd Ga
12 2 6
direct
0.0333 0.9667 0.5000 Tb
0.0584 0.4148 0.6154 Tb
0.2247 0.7753 0.8280 Tb
0.2655 0.3975 0.9733 Tb
0.3975 0.2655 0.4733 Tb
0.4148 0.0584 0.1154 Tb
0.5852 0.9416 0.6154 Tb
0.6025 0.7345 0.9733 Tb
0.7345 0.6025 0.4733 Tb
0.7753 0.2247 0.3280 Tb
0.9416 0.5852 0.1154 Tb
0.9667 0.0333 0.0000 Tb
0.3302 0.6698 0.3354 Nd
0.6698 0.3302 0.8354 Nd
0.1183 0.2825 0.2760 Ga
0.2825 0.1183 0.7760 Ga
0.4306 0.5694 0.6719 Ga
0.5694 0.4306 0.1719 Ga
0.7175 0.8817 0.2760 Ga
0.8817 0.7175 0.7760 Ga
```

Main lines, most intense first (2θ = 10–90°):
2theta, Rel. int.
34.41, 100
30.53, 62
33.62, 60
30.10, 59
35.32, 50
27.03, 28
25.61, 28
33.08, 24
51.22, 22
32.62, 20

Na5B6C4: theoretical X-ray powder pattern (λ = 1.5418 Å (Cu Kα)), based on a DFT-relaxed cell (GGA-PBE, Alexandria).

Atomic structure:
```
Na5B6C4
1.0
7.0982 -2.4894 0.0000
7.0982 2.4894 0.0000
-5.6800 0.0000 8.4927
Na B C
10 12 8
direct
0.0009 0.0009 0.2521 Na
0.2001 0.1973 0.7478 Na
0.2008 0.2007 0.2521 Na
0.4010 0.3985 0.7494 Na
0.4018 0.3991 0.2522 Na
0.6009 0.5982 0.7478 Na
0.6015 0.5990 0.2506 Na
0.7993 0.7992 0.7479 Na
0.8027 0.7999 0.2522 Na
0.9991 0.9991 0.7479 Na
0.0335 0.3665 0.4999 B
0.1444 0.8556 0.0000 B
0.2334 0.5664 0.4999 B
0.2399 0.5600 0.0000 B
0.3616 0.0469 0.0000 B
0.4336 0.7666 0.5001 B
0.4400 0.7601 0.0000 B
0.5782 0.2201 0.0000 B
0.6335 0.9665 0.5001 B
0.7799 0.4218 0.0000 B
0.8335 0.1665 0.5000 B
0.9531 0.6384 0.0000 B
0.0358 0.3645 0.9999 C
0.1673 0.8327 0.5000 C
0.3673 0.0330 0.5003 C
0.5672 0.2328 0.5001 C
0.6355 0.9642 0.0001 C
0.7672 0.4328 0.4999 C
0.8356 0.1644 0.0000 C
0.9670 0.6327 0.4997 C
```

Main lines, most intense first (2θ = 10–90°):
2theta, Rel. int.
42.38, 100
42.07, 50
42.58, 38
65.10, 17
36.43, 17
80.95, 17
77.80, 13
81.23, 11
57.25, 10
36.08, 9

Ta2Nb6Rh: theoretical X-ray powder pattern (λ = 1.5418 Å (Cu Kα)), based on a DFT-relaxed cell (GGA-PBE, Alexandria).

Atomic structure:
```
Ta2Nb6Rh
1.0
2.6015 -7.1402 0.0000
2.6015 7.1402 0.0000
-1.9264 0.0000 4.3726
Ta Nb Rh
2 6 1
direct
0.1654 0.8346 0.0000 Ta
0.8346 0.1654 0.0000 Ta
0.1747 0.4978 0.6658 Nb
0.3285 0.3285 0.1667 Nb
0.4978 0.1747 0.6658 Nb
0.5022 0.8253 0.3342 Nb
0.6715 0.6715 0.8333 Nb
0.8253 0.5022 0.3342 Nb
0.0000 0.0000 0.5000 Rh
```

Main lines, most intense first (2θ = 10–90°):
2theta, Rel. int.
38.10, 100
37.80, 52
38.27, 43
37.17, 41
43.37, 35
68.45, 17
70.70, 16
49.81, 16
59.64, 14
42.40, 13

NaTh3Se4: theoretical X-ray powder pattern (λ = 1.5418 Å (Cu Kα)), based on a DFT-relaxed cell (GGA-PBE, Alexandria).

Atomic structure:
```
NaTh3Se4
1.0
4.2336 -5.9211 0.0000
4.2336 5.9211 0.0000
0.0000 0.0000 4.1690
Na Th Se
1 3 4
direct
0.0000 0.0000 0.0000 Na
0.0000 0.5000 0.5000 Th
0.5000 0.0000 0.5000 Th
0.5000 0.5000 0.0000 Th
0.2424 0.2424 0.5000 Se
0.2440 0.7560 0.0000 Se
0.7560 0.2440 0.0000 Se
0.7576 0.7576 0.5000 Se
```

Main lines, most intense first (2θ = 10–90°):
2theta, Rel. int.
30.08, 100
43.14, 75
30.19, 49
12.85, 23
53.19, 20
53.78, 20
25.87, 19
42.72, 19
79.45, 19
24.94, 19

Y7Sn4C: theoretical X-ray powder pattern (λ = 1.5418 Å (Cu Kα)), based on a DFT-relaxed cell (GGA-PBE, Alexandria).

Atomic structure:
```
Y7Sn4C
1.0
8.0284 -2.5202 0.0000
8.0284 2.5202 0.0000
-6.9515 0.0000 8.7853
Y Sn C
7 4 1
direct
0.0000 0.0000 0.0000 Y
0.1364 0.1364 0.5462 Y
0.2766 0.2766 0.1384 Y
0.4374 0.4374 0.7524 Y
0.5626 0.5626 0.2476 Y
0.7234 0.7234 0.8616 Y
0.8636 0.8636 0.4538 Y
0.0844 0.0844 0.7825 Sn
0.2223 0.2223 0.3518 Sn
0.7777 0.7777 0.6482 Sn
0.9156 0.9156 0.2175 Sn
0.5000 0.5000 0.0000 C
```

Main lines, most intense first (2θ = 10–90°):
2theta, Rel. int.
33.87, 100
34.19, 63
35.62, 33
49.97, 21
24.45, 19
61.00, 19
18.97, 15
47.78, 12
62.87, 12
63.08, 12

La2Tb7Dy3: theoretical X-ray powder pattern (λ = 1.5418 Å (Cu Kα)), based on a DFT-relaxed cell (GGA-PBE, Alexandria).

Atomic structure:
```
La2Tb7Dy3
1.0
6.3816 0.0000 0.0000
0.0000 3.5383 0.0000
-1.8971 0.0000 17.4837
La Tb Dy
2 7 3
direct
0.0585 0.0000 0.1718 La
0.9415 0.0000 0.8282 La
0.0000 0.5000 0.5000 Tb
0.2297 0.0000 0.6658 Tb
0.2573 0.0000 0.9986 Tb
0.2755 0.5000 0.3377 Tb
0.7245 0.5000 0.6623 Tb
0.7427 0.0000 0.0014 Tb
0.7703 0.0000 0.3342 Tb
0.4534 0.5000 0.8422 Dy
0.5000 0.0000 0.5000 Dy
0.5466 0.5000 0.1578 Dy
```

Main lines, most intense first (2θ = 10–90°):
2theta, Rel. int.
30.64, 100
31.20, 56
34.66, 44
33.59, 37
29.61, 34
52.53, 21
50.03, 21
61.30, 15
51.68, 15
37.83, 14

Mg12ZnHg3: theoretical X-ray powder pattern (λ = 1.5418 Å (Cu Kα)), based on a DFT-relaxed cell (GGA-PBE, Alexandria).

Atomic structure:
```
Mg12ZnHg3
1.0
4.4522 0.0000 0.0000
0.0000 4.4522 0.0000
0.0000 0.0000 17.1138
Mg Zn Hg
12 1 3
direct
0.0000 0.0000 0.0000 Mg
0.0000 0.0000 0.2472 Mg
0.0000 0.0000 0.5000 Mg
0.0000 0.0000 0.7528 Mg
0.0000 0.5000 0.1202 Mg
0.0000 0.5000 0.3739 Mg
0.0000 0.5000 0.6261 Mg
0.0000 0.5000 0.8798 Mg
0.5000 0.0000 0.1202 Mg
0.5000 0.0000 0.3739 Mg
0.5000 0.0000 0.6261 Mg
0.5000 0.0000 0.8798 Mg
0.5000 0.5000 0.0000 Zn
0.5000 0.5000 0.2473 Hg
0.5000 0.5000 0.5000 Hg
0.5000 0.5000 0.7527 Hg
```

Main lines, most intense first (2θ = 10–90°):
2theta, Rel. int.
35.40, 100
19.94, 68
28.94, 56
40.52, 35
20.76, 31
28.35, 30
70.40, 27
50.56, 25
59.97, 23
45.95, 18

La8Nd3: theoretical X-ray powder pattern (λ = 1.5418 Å (Cu Kα)), based on a DFT-relaxed cell (GGA-PBE, Alexandria).

Atomic structure:
```
La8Nd3
1.0
5.8837 -2.6239 0.0000
5.8837 2.6239 0.0000
-3.5103 0.0000 12.9426
La Nd
8 3
direct
0.0454 0.0454 0.3177 La
0.1369 0.1369 0.9537 La
0.2272 0.2272 0.5898 La
0.3179 0.3179 0.2271 La
0.6821 0.6821 0.7729 La
0.7728 0.7728 0.4102 La
0.8631 0.8631 0.0463 La
0.9546 0.9546 0.6823 La
0.4087 0.4087 0.8642 Nd
0.5000 0.5000 0.5000 Nd
0.5913 0.5913 0.1358 Nd
```

Main lines, most intense first (2θ = 10–90°):
2theta, Rel. int.
29.43, 100
34.08, 34
58.16, 29
48.99, 24
34.17, 17
58.28, 14
61.06, 13
49.05, 12
79.50, 12
81.85, 7